This entry pairs a crystal structure of AcIn2MoO8 with its computed X-ray diffraction stick pattern. Radiation: Cu Kα, 1.54184 Å. Structure: a crystal structure in Alexandria, relaxed with GGA+U.

Most intense lines, 2θ = 5–70°, low angle first:
d (Å), I (rel.)
3.505, 57
3.487, 54
2.865, 100
2.472, 28
1.874, 38
1.869, 37

Atomic structure:
```
data_AcIn2MoO8
_symmetry_space_group_name_H-M 'P 1'
_symmetry_Int_Tables_number 1
_symmetry_space_group_name_Hall 'P 1'
_cell_length_a 4.9441
_cell_length_b 4.9441
_cell_length_c 7.0323
_cell_angle_alpha 90.00
_cell_angle_beta 90.00
_cell_angle_gamma 90.29
loop_
_atom_site_label
_atom_site_fract_x
_atom_site_fract_y
_atom_site_fract_z
_atom_site_occupancy
Ac1 0.0000 0.0000 0.0000 1
In1 0.5000 0.5000 0.2696 1
In2 0.5000 0.5000 0.7304 1
Mo1 0.0000 0.0000 0.5000 1
O1 0.1899 0.1899 0.3000 1
O2 0.1899 0.1899 0.7000 1
O3 0.2844 0.7156 0.5000 1
O4 0.3328 0.6672 0.0000 1
O5 0.6672 0.3328 0.0000 1
O6 0.7156 0.2844 0.5000 1
O7 0.8101 0.8101 0.3000 1
O8 0.8101 0.8101 0.7000 1
```